Starting from a cell relaxed with PBE, the powder XRD pattern of Y3Fe29 was computed for a wavelength of 1.5418 Å.

Cell and atoms:
a b c (Å): 9.635 8.476 10.471
angles (deg): 90.00 96.48 90.00
Space group C2/m (No. 12)
Inequivalent atoms, fractional coordinates:
Y1 0.000 0.000 0.000 x2
Y2 0.188 0.000 0.598 x4
Fe1 0.000 0.358 0.000 x4
Fe2 0.000 0.500 0.500 x2
Fe3 0.020 0.500 0.254 x4
Fe4 0.063 0.251 0.405 x8
Fe5 0.092 0.000 0.292 x4
Fe6 0.092 0.219 0.802 x8
Fe7 0.155 0.253 0.198 x8
Fe8 0.187 0.352 0.622 x8
Fe9 0.210 0.500 0.859 x4
Fe10 0.222 0.500 0.108 x4
Fe11 0.250 0.250 0.000 x4

Principal peaks in the range 2θ = 10–90°, low angle first:
- 2θ 36.91, I = 31
- 2θ 39.92, I = 20
- 2θ 42.68, I = 38
- 2θ 43.00, I = 80
- 2θ 43.33, I = 100
- 2θ 43.46, I = 70
- 2θ 48.16, I = 20
- 2θ 48.74, I = 67